No. 1
Diffraction record for PmTc4Ge4. The powder XRD pattern is calculated, not measured: it uses the GGA-PBE geometry in Alexandria and Cu Ka.

Structure:
Cell lengths 8.3241, 8.3241, 4.7651 Å; angles 90.00, 90.00, 90.00 degrees
Fractional positions:
Pm1 0.2500 0.2500 0.2500
Pm2 0.7500 0.7500 0.7500
Tc1 0.1246 0.8612 0.6724
Tc2 0.1388 0.6246 0.1724
Tc3 0.3612 0.8754 0.1724
Tc4 0.3754 0.6388 0.6724
Tc5 0.6246 0.3612 0.3276
Tc6 0.6388 0.1246 0.8276
Tc7 0.8612 0.3754 0.8276
Tc8 0.8754 0.1388 0.3276
Ge1 0.0390 0.8992 0.1811
Ge2 0.1008 0.5390 0.6811
Ge3 0.3992 0.9610 0.6811
Ge4 0.4610 0.6008 0.1811
Ge5 0.5390 0.3992 0.8189
Ge6 0.6008 0.0390 0.3189
Ge7 0.8992 0.4610 0.3189
Ge8 0.9610 0.1008 0.8189

Largest 8 diffraction maxima, most intense first, 2θ = 10–90°:
2θ (°), d_spacing, I_rel
34.06, 2.632, 100
43.55, 2.078, 73
30.47, 2.934, 50
39.34, 2.291, 38
51.75, 1.766, 31
37.76, 2.383, 29
48.98, 1.860, 27
15.05, 5.886, 25

No. 2
Diffraction record for PmGe2Te4. The powder XRD pattern is calculated, not measured: it uses the GGA-PBE geometry in Alexandria and Cu Ka.

Structure:
Cell lengths 6.8414, 6.8414, 6.8414 Å; angles 105.67, 105.67, 117.37 degrees
Fractional positions:
Pm1 0.0000 0.0000 0.0000
Ge1 0.2500 0.7500 0.5000
Ge2 0.7500 0.2500 0.5000
Te1 0.1976 0.6761 0.8737
Te2 0.3239 0.1976 0.5216
Te3 0.6761 0.8024 0.4784
Te4 0.8024 0.3239 0.1263

Largest 8 diffraction maxima, most intense first, 2θ = 10–90°:
2θ (°), d_spacing, I_rel
27.19, 3.280, 100
42.94, 2.106, 47
30.59, 2.922, 37
47.10, 1.930, 32
25.04, 3.556, 27
33.24, 2.696, 26
45.45, 1.996, 25
71.67, 1.317, 22

No. 3
Diffraction record for Pm4GeTe4. The powder XRD pattern is calculated, not measured: it uses the GGA-PBE geometry in Alexandria and Cu Ka.

Structure:
Cell lengths 8.4225, 8.4225, 8.4225 Å; angles 126.80, 126.80, 78.57 degrees
Fractional positions:
Pm1 0.0880 0.6718 0.0000
Pm2 0.3282 0.3282 0.4162
Pm3 0.6718 0.0880 0.0000
Pm4 0.9120 0.9120 0.5838
Ge1 0.0000 0.0000 0.0000
Te1 0.0000 0.5000 0.5000
Te2 0.2962 0.2962 0.0000
Te3 0.5000 0.0000 0.5000
Te4 0.7038 0.7038 0.0000

Largest 8 diffraction maxima, most intense first, 2θ = 10–90°:
2θ (°), d_spacing, I_rel
21.53, 4.128, 100
36.43, 2.466, 63
33.62, 2.666, 62
40.27, 2.240, 27
61.95, 1.498, 19
48.29, 1.885, 17
56.39, 1.632, 14
27.32, 3.265, 13

No. 4
Diffraction record for Pm4TlGeTe2. The powder XRD pattern is calculated, not measured: it uses the GGA-PBE geometry in Alexandria and Cu Ka.

Structure:
Cell lengths 7.5926, 4.3716, 7.8488 Å; angles 90.00, 108.63, 90.00 degrees
Fractional positions:
Pm1 0.2322 0.0000 0.2311
Pm2 0.2414 0.5000 0.7558
Pm3 0.7586 0.5000 0.2442
Pm4 0.7678 0.0000 0.7689
Tl1 0.5000 0.0000 0.0000
Ge1 0.0000 0.5000 0.0000
Te1 0.0000 0.0000 0.5000
Te2 0.5000 0.5000 0.5000

Largest 8 diffraction maxima, most intense first, 2θ = 10–90°:
2θ (°), d_spacing, I_rel
28.47, 3.135, 100
41.25, 2.189, 37
40.18, 2.244, 26
50.94, 1.793, 14
40.05, 2.251, 13
58.91, 1.568, 12
65.98, 1.416, 12
67.45, 1.389, 11

No. 5
Diffraction record for Pm3Th3Ge4. The powder XRD pattern is calculated, not measured: it uses the GGA-PBE geometry in Alexandria and Cu Ka.

Structure:
Cell lengths 4.1313, 8.0060, 8.0060 Å; angles 89.96, 90.00, 90.00 degrees
Fractional positions:
Pm1 0.0000 0.0000 0.0000
Pm2 0.0000 0.5013 0.8398
Pm3 0.0000 0.8398 0.5013
Th1 0.0000 0.3431 0.3431
Th2 0.5000 0.1708 0.6688
Th3 0.5000 0.6688 0.1708
Ge1 0.5000 0.0413 0.2986
Ge2 0.5000 0.2986 0.0413
Ge3 0.5000 0.5429 0.5429
Ge4 0.5000 0.7995 0.7995

Largest 8 diffraction maxima, most intense first, 2θ = 10–90°:
2θ (°), d_spacing, I_rel
33.11, 2.706, 100
31.11, 2.875, 74
35.46, 2.532, 70
26.71, 3.337, 36
57.59, 1.601, 35
31.61, 2.830, 23
53.38, 1.716, 23
43.83, 2.066, 23

No. 6
Diffraction record for Pm3ThGe3. The powder XRD pattern is calculated, not measured: it uses the GGA-PBE geometry in Alexandria and Cu Ka.

Structure:
Cell lengths 6.2706, 6.2706, 6.2706 Å; angles 109.45, 109.45, 109.45 degrees
Fractional positions:
Pm1 0.2018 0.2018 0.5964
Pm2 0.2018 0.5964 0.2018
Pm3 0.5964 0.2018 0.2018
Th1 0.7958 0.7958 0.7958
Ge1 0.2012 0.7023 0.7023
Ge2 0.7023 0.2012 0.7023
Ge3 0.7023 0.7023 0.2012

Largest 8 diffraction maxima, most intense first, 2θ = 10–90°:
2θ (°), d_spacing, I_rel
30.23, 2.957, 100
35.04, 2.561, 98
53.69, 1.707, 55
24.58, 3.621, 27
82.02, 1.175, 24
46.94, 1.936, 23
65.74, 1.420, 23
39.34, 2.290, 22

No. 7
Diffraction record for Pm2ThGe3. The powder XRD pattern is calculated, not measured: it uses the GGA-PBE geometry in Alexandria and Cu Ka.

Structure:
Cell lengths 7.3995, 7.3995, 7.3995 Å; angles 146.40, 131.67, 60.15 degrees
Fractional positions:
Pm1 0.1670 0.1670 0.0000
Pm2 0.8330 0.8330 0.0000
Th1 0.5000 0.5000 0.0000
Ge1 0.0000 0.5000 0.5000
Ge2 0.3339 0.8339 0.5000
Ge3 0.6661 0.1661 0.5000

Largest 8 diffraction maxima, most intense first, 2θ = 10–90°:
2θ (°), d_spacing, I_rel
29.54, 3.024, 100
42.26, 2.138, 76
25.51, 3.492, 29
52.41, 1.746, 27
69.45, 1.353, 17
77.23, 1.235, 17
69.53, 1.352, 12
49.99, 1.825, 10

No. 8
Diffraction record for Pm2Th3Ge4. The powder XRD pattern is calculated, not measured: it uses the GGA-PBE geometry in Alexandria and Cu Ka.

Structure:
Cell lengths 6.1155, 6.1155, 9.9461 Å; angles 97.67, 97.67, 42.53 degrees
Fractional positions:
Pm1 0.1725 0.1725 0.3103
Pm2 0.8275 0.8275 0.6897
Th1 0.1296 0.1296 0.9040
Th2 0.5000 0.5000 0.5000
Th3 0.8704 0.8704 0.0960
Ge1 0.1571 0.1571 0.6144
Ge2 0.4171 0.4171 0.8882
Ge3 0.5829 0.5829 0.1118
Ge4 0.8429 0.8429 0.3856

Largest 8 diffraction maxima, most intense first, 2θ = 10–90°:
2θ (°), d_spacing, I_rel
31.18, 2.868, 100
35.84, 2.506, 66
27.46, 3.248, 58
29.47, 3.031, 54
40.68, 2.218, 39
25.67, 3.470, 34
31.73, 2.820, 29
51.02, 1.790, 24

No. 9
Diffraction record for PmTh2Ge3. The powder XRD pattern is calculated, not measured: it uses the GGA-PBE geometry in Alexandria and Cu Ka.

Structure:
Cell lengths 6.0755, 12.7756, 8.6196 Å; angles 90.00, 90.00, 90.00 degrees
Fractional positions:
Pm1 0.2497 0.0833 0.1251
Pm2 0.2497 0.4167 0.6251
Pm3 0.7503 0.5833 0.3749
Pm4 0.7503 0.9167 0.8749
Th1 0.2497 0.0834 0.6259
Th2 0.2497 0.4166 0.1259
Th3 0.2506 0.7500 0.1253
Th4 0.2506 0.7500 0.6253
Th5 0.7494 0.2500 0.3747
Th6 0.7494 0.2500 0.8747
Th7 0.7503 0.5834 0.8741
Th8 0.7503 0.9166 0.3741
Ge1 0.2494 0.2500 0.3758
Ge2 0.2494 0.2500 0.8758
Ge3 0.2503 0.5835 0.3750
Ge4 0.2503 0.5833 0.8756
Ge5 0.2503 0.9167 0.3756
Ge6 0.2503 0.9165 0.8750
Ge7 0.7497 0.0835 0.1250
Ge8 0.7497 0.0833 0.6244
Ge9 0.7497 0.4167 0.1244
Ge10 0.7497 0.4165 0.6250
Ge11 0.7506 0.7500 0.1242
Ge12 0.7506 0.7500 0.6242

Largest 8 diffraction maxima, most intense first, 2θ = 10–90°:
2θ (°), d_spacing, I_rel
29.46, 3.032, 100
42.13, 2.145, 51
25.34, 3.515, 19
25.54, 3.487, 19
52.03, 1.758, 14
52.48, 1.744, 14
76.74, 1.242, 13
41.92, 2.155, 13

No. 10
Diffraction record for PmTiGe. The powder XRD pattern is calculated, not measured: it uses the GGA-PBE geometry in Alexandria and Cu Ka.

Structure:
Cell lengths 8.4574, 8.4574, 8.4574 Å; angles 151.84, 151.84, 40.24 degrees
Fractional positions:
Pm1 0.1740 0.1740 0.0000
Pm2 0.8260 0.8260 0.0000
Ti1 0.0000 0.5000 0.5000
Ti2 0.5000 0.0000 0.5000
Ge1 0.3824 0.3824 0.0000
Ge2 0.6176 0.6176 0.0000

Largest 8 diffraction maxima, most intense first, 2θ = 10–90°:
2θ (°), d_spacing, I_rel
35.71, 2.514, 100
38.36, 2.347, 88
30.73, 2.909, 84
44.02, 2.057, 74
27.45, 3.249, 74
32.78, 2.732, 73
56.72, 1.623, 67
57.92, 1.592, 49

No. 11
Diffraction record for Pm3TiGe6. The powder XRD pattern is calculated, not measured: it uses the GGA-PBE geometry in Alexandria and Cu Ka.

Structure:
Cell lengths 7.6168, 7.6168, 7.6168 Å; angles 97.26, 97.26, 97.26 degrees
Fractional positions:
Pm1 0.1802 0.7500 0.3198
Pm2 0.2500 0.6802 0.8198
Pm3 0.3198 0.1802 0.7500
Pm4 0.6802 0.8198 0.2500
Pm5 0.7500 0.3198 0.1802
Pm6 0.8198 0.2500 0.6802
Ti1 0.0000 0.0000 0.0000
Ti2 0.5000 0.5000 0.5000
Ge1 0.0141 0.0904 0.3603
Ge2 0.0904 0.3603 0.0141
Ge3 0.1397 0.4096 0.4859
Ge4 0.3603 0.0141 0.0904
Ge5 0.4096 0.4859 0.1397
Ge6 0.4859 0.1397 0.4096
Ge7 0.5141 0.8603 0.5904
Ge8 0.5904 0.5141 0.8603
Ge9 0.6397 0.9859 0.9096
Ge10 0.8603 0.5904 0.5141
Ge11 0.9096 0.6397 0.9859
Ge12 0.9859 0.9096 0.6397

Largest 8 diffraction maxima, most intense first, 2θ = 10–90°:
2θ (°), d_spacing, I_rel
36.33, 2.473, 100
33.57, 2.670, 85
28.19, 3.165, 24
48.46, 1.878, 18
46.64, 1.948, 17
32.69, 2.740, 15
58.19, 1.585, 13
53.82, 1.703, 11

No. 12
Diffraction record for Pm5Tl2Ge2. The powder XRD pattern is calculated, not measured: it uses the GGA-PBE geometry in Alexandria and Cu Ka.

Structure:
Cell lengths 9.0196, 9.0196, 8.0185 Å; angles 90.00, 90.00, 52.38 degrees
Fractional positions:
Pm1 0.0000 0.0000 0.0000
Pm2 0.0538 0.6936 0.6744
Pm3 0.1936 0.5538 0.1744
Pm4 0.3064 0.9462 0.6744
Pm5 0.4462 0.8064 0.1744
Pm6 0.5000 0.5000 0.5000
Pm7 0.5538 0.1936 0.8256
Pm8 0.6936 0.0538 0.3256
Pm9 0.8064 0.4462 0.8256
Pm10 0.9462 0.3064 0.3256
Tl1 0.2173 0.2173 0.0000
Tl2 0.2827 0.2827 0.5000
Tl3 0.7173 0.7173 0.5000
Tl4 0.7827 0.7827 0.0000
Ge1 0.1247 0.8753 0.3720
Ge2 0.3753 0.6247 0.8720
Ge3 0.6247 0.3753 0.1280
Ge4 0.8753 0.1247 0.6280

Largest 8 diffraction maxima, most intense first, 2θ = 10–90°:
2θ (°), d_spacing, I_rel
31.53, 2.838, 100
31.68, 2.825, 91
31.41, 2.848, 91
31.86, 2.809, 74
33.50, 2.675, 71
29.95, 2.984, 64
35.87, 2.503, 52
36.08, 2.489, 52

No. 13
Diffraction record for Pm7Tl2Ge. The powder XRD pattern is calculated, not measured: it uses the GGA-PBE geometry in Alexandria and Cu Ka.

Structure:
Cell lengths 7.9090, 7.9090, 7.9090 Å; angles 60.00, 60.00, 60.00 degrees
Fractional positions:
Pm1 0.0000 0.0000 0.0000
Pm2 0.2537 0.2537 0.7463
Pm3 0.2537 0.7463 0.2537
Pm4 0.2537 0.7463 0.7463
Pm5 0.7463 0.2537 0.2537
Pm6 0.7463 0.2537 0.7463
Pm7 0.7463 0.7463 0.2537
Tl1 0.2500 0.2500 0.2500
Tl2 0.7500 0.7500 0.7500
Ge1 0.5000 0.5000 0.5000

Largest 8 diffraction maxima, most intense first, 2θ = 10–90°:
2θ (°), d_spacing, I_rel
32.01, 2.796, 100
27.63, 3.229, 96
45.90, 1.977, 74
54.41, 1.686, 44
76.12, 1.251, 33
57.05, 1.614, 26
84.96, 1.142, 25
22.48, 3.954, 23